Record 1
Starting from a GGA-PBE-relaxed structure, the XRD peak list of Cd2ClO3 was calculated for copper Kα.

Structural model:
```
Cd2ClO3
1.0
7.005 0.000 0.000
0.000 7.295 0.000
0.000 0.000 9.835
Cd Cl O
8 4 12
Cartesian
0.000 0.000 0.000
0.000 3.648 0.000
1.337 1.824 2.745
2.166 5.471 7.662
3.503 0.000 4.918
3.503 3.648 4.918
4.839 1.824 2.173
5.669 5.471 7.091
1.338 1.824 5.343
2.164 5.471 0.426
4.841 1.824 9.409
5.667 5.471 4.492
0.354 4.105 7.700
0.354 6.837 7.700
1.146 1.824 0.448
2.357 5.471 5.365
3.149 0.458 2.782
3.149 3.190 2.782
3.857 4.105 7.053
3.857 6.837 7.053
4.648 1.824 4.470
5.860 5.471 9.387
6.652 0.458 2.136
6.652 3.190 2.136
```

Most intense lines, 10° ≤ 2θ ≤ 80°, low angle first:
2θ (°)	intensity
15.1	100
15.5	77
29.1	49
29.9	20
30.5	30
31.4	22
35.5	53
36.5	23
39.7	21
51.9	22



Record 2
Starting from a GGA-PBE-relaxed structure, the XRD peak list of Cs3HSe2O8 was calculated for copper Kα.

Structural model:
```
Cs3HSe2O8
1.0
5.567 -3.264 0.000
5.567 3.264 0.000
-3.244 0.000 8.042
Cs H Se O
3 1 2 8
Cartesian
0.000 0.000 0.000
4.195 0.000 6.281
7.672 0.000 3.089
1.874 0.000 3.145
0.536 0.000 5.040
3.660 0.000 1.262
2.951 1.380 0.627
-1.111 0.000 5.199
1.264 1.385 5.596
0.808 0.000 3.290
3.318 0.000 2.943
2.951 -1.380 0.627
5.307 0.000 1.019
1.264 -1.385 5.596
```

Most intense lines, 10° ≤ 2θ ≤ 80°, low angle first:
2θ (°)	intensity
23.7	52
24.7	100
27.3	42
27.7	73
36.5	42
38.3	15
40.2	21
46.7	15
48.5	19
62.0	14



Record 3
Starting from a GGA-PBE-relaxed structure, the XRD peak list of Tb7MnBr12 was calculated for copper Kα.

Structural model:
```
Tb7MnBr12
1.0
7.427 4.288 3.467
-7.427 4.288 3.467
0.000 -8.576 3.467
Tb Mn Br
7 1 12
Cartesian
0.000 0.000 0.000
-1.532 -1.538 3.739
-0.566 2.095 3.739
2.098 -0.557 3.739
-2.098 0.557 6.662
0.566 -2.095 6.662
1.532 1.538 6.662
0.000 0.000 5.200
-2.202 0.609 1.693
0.573 -2.212 1.693
-4.031 -1.018 5.097
-1.134 -4.000 5.303
1.629 1.603 1.693
-2.897 2.982 5.303
2.897 -2.982 5.097
-1.629 -1.602 8.707
1.134 4.000 5.097
4.031 1.018 5.303
-0.573 2.212 8.707
2.202 -0.609 8.707
```

Most intense lines, 10° ≤ 2θ ≤ 80°, low angle first:
2θ (°)	intensity
10.9	19
11.9	43
28.4	10
30.4	100
43.0	35
44.0	35
54.4	18
63.2	11
71.1	12
72.4	13



Record 4
Starting from a GGA-PBE-relaxed structure, the XRD peak list of Er5Co19P12 was calculated for copper Kα.

Structural model:
```
Er5Co19P12
1.0
11.967 0.000 0.000
-5.983 10.363 0.000
0.000 0.000 3.667
Er Co P
5 19 12
Cartesian
-1.122 1.943 0.000
2.243 0.000 0.000
0.000 6.909 1.834
5.983 3.454 1.834
4.862 8.421 0.000
0.000 0.000 1.834
-3.304 5.723 1.834
-4.281 7.414 0.000
-1.387 5.013 0.000
-2.661 8.297 1.834
0.128 3.910 1.834
1.703 2.949 0.000
-0.948 9.058 0.000
3.322 2.066 1.834
2.679 4.640 1.834
5.035 1.305 0.000
2.335 6.655 0.000
6.608 0.000 1.834
2.533 8.519 1.834
4.596 5.350 0.000
8.561 0.000 0.000
8.516 1.844 1.834
6.111 6.453 1.834
8.319 3.708 0.000
-2.197 3.805 1.834
-4.905 8.497 1.834
-2.114 7.101 0.000
1.078 1.867 1.834
0.891 4.981 0.000
4.394 0.000 1.834
3.869 3.262 0.000
1.224 8.644 0.000
3.786 6.558 1.834
7.207 1.719 0.000
9.811 0.000 1.834
6.874 5.382 0.000
```

Most intense lines, 10° ≤ 2θ ≤ 80°, low angle first:
2θ (°)	intensity
28.5	11
29.9	12
35.7	12
38.8	100
39.9	46
49.7	21
53.0	20
59.9	11
73.7	11
75.6	13



Record 5
Starting from a GGA-PBE-relaxed structure, the XRD peak list of CsGe2N3 was calculated for copper Kα.

Structural model:
```
CsGe2N3
1.0
5.135 -3.091 0.000
5.135 3.091 0.000
0.000 0.000 5.484
Cs Ge N
2 4 6
Cartesian
5.135 2.145 2.742
5.135 -2.145 0.000
3.347 0.848 5.460
3.347 -0.848 2.718
6.924 0.848 5.460
6.924 -0.848 2.718
2.638 0.718 3.648
5.135 1.020 0.036
2.638 -0.718 0.906
7.633 0.718 3.648
5.135 -1.020 2.778
7.633 -0.718 0.906
```

Most intense lines, 10° ≤ 2θ ≤ 80°, low angle first:
2θ (°)	intensity
29.8	47
32.7	52
33.3	92
34.1	100
44.8	31
51.8	21
58.7	22
59.2	21
62.6	23
64.5	29



Record 6
Starting from a GGA-PBE-relaxed structure, the XRD peak list of BaSrDyNbO6 was calculated for copper Kα.

Structural model:
```
BaSrDyNbO6
1.0
0.000 4.251 4.251
4.251 0.000 4.251
4.251 4.251 0.000
Ba Sr Dy Nb O
1 1 1 1 6
Cartesian
0.000 0.000 0.000
4.251 4.251 4.251
6.377 6.377 6.377
2.126 2.126 2.126
2.126 2.126 0.108
2.126 0.108 2.126
4.143 2.126 2.126
0.108 2.126 2.126
2.126 4.143 2.126
2.126 2.126 4.143
```

Most intense lines, 10° ≤ 2θ ≤ 80°, low angle first:
2θ (°)	intensity
18.1	5
20.9	3
29.7	100
35.0	4
42.5	31
46.6	2
52.7	40
61.7	19
70.0	18
77.8	6



Record 7
Starting from a GGA-PBE-relaxed structure, the XRD peak list of In4Pd17Se4 was calculated for copper Kα.

Structural model:
```
In4Pd17Se4
1.0
-7.291 7.291 2.018
7.291 -7.291 2.018
7.291 7.291 -2.018
In Pd Se
4 17 4
Cartesian
2.357 1.685 0.000
5.606 -4.934 2.018
1.685 12.225 0.000
4.934 5.606 2.018
0.000 0.000 0.000
10.611 0.661 0.000
8.621 2.889 0.000
4.599 3.621 0.000
0.661 3.971 0.000
3.670 -2.692 2.018
6.982 5.301 0.000
2.889 5.961 0.000
1.990 -0.309 2.018
5.301 7.600 0.000
4.402 1.330 2.018
0.309 1.990 2.018
3.621 9.983 0.000
6.630 3.320 2.018
2.692 3.670 2.018
-1.330 4.402 2.018
-3.320 6.630 2.018
6.252 1.793 0.000
5.498 -1.039 2.018
1.793 8.330 0.000
1.039 5.498 2.018
```

Most intense lines, 10° ≤ 2θ ≤ 80°, low angle first:
2θ (°)	intensity
12.1	3
38.1	100
40.1	3
43.9	32
44.9	18
45.7	5
63.8	8
64.6	19
76.8	18
78.2	12